Structure and theoretical powder diffraction line list of LiMoP2O8 (a DFT-relaxed cell (GGA+U, Alexandria); Cu Kα (weighted mean of Kα1 and Kα2)).
Lines closer than 0.1° are merged.

Most intense lines, 10° ≤ 2θ ≤ 80°, by angle:
2θ/deg  d/Å  I/Imax
16.40  5.405  100
20.58  4.316  35
22.72  3.913  33
23.18  3.837  35
24.68  3.607  18
25.53  3.490  24
29.34  3.044  32
30.57  2.924  33
31.60  2.831  12
33.15  2.703  31
36.76  2.445  23
50.64  1.803  14

Cell and atoms:
a b c (Å): 5.090 8.390 8.131
angles (deg): 90.00 119.64 90.00
Fractional positions:
Li (0.000, 0.000, 0.000)
Li (0.000, 0.500, 0.500)
Mo (0.500, 0.000, 0.500)
Mo (0.500, 0.500, 0.000)
P (0.169, 0.180, 0.735)
P (0.169, 0.320, 0.235)
P (0.831, 0.680, 0.765)
P (0.831, 0.820, 0.265)
O (0.161, 0.659, 0.935)
O (0.161, 0.841, 0.435)
O (0.229, 0.136, 0.266)
O (0.229, 0.364, 0.766)
O (0.234, 0.097, 0.912)
O (0.234, 0.403, 0.412)
O (0.377, 0.117, 0.653)
O (0.377, 0.383, 0.153)
O (0.623, 0.617, 0.847)
O (0.623, 0.883, 0.347)
O (0.766, 0.597, 0.588)
O (0.766, 0.903, 0.088)
O (0.771, 0.636, 0.234)
O (0.771, 0.864, 0.734)
O (0.839, 0.159, 0.565)
O (0.839, 0.341, 0.065)



Structure and theoretical powder diffraction line list of LiMo2P3O12 (a DFT-relaxed cell (GGA+U, Alexandria); Cu Kα (weighted mean of Kα1 and Kα2)).
Lines closer than 0.1° are merged.

Most intense lines, 10° ≤ 2θ ≤ 80°, by angle:
2θ/deg  d/Å  I/Imax
14.08  6.291  69
19.51  4.549  48
19.68  4.510  100
20.29  4.376  26
20.48  4.336  40
20.63  4.306  35
23.67  3.760  47
28.38  3.145  69
28.75  3.105  30
31.39  2.850  60
35.27  2.544  19
35.58  2.523  22

Cell and atoms:
a b c (Å): 8.613 8.673 9.023
angles (deg): 90.60 118.17 119.16
Fractional positions:
Li (0.148, 0.186, 0.413)
Li (0.852, 0.814, 0.587)
Mo (0.296, 0.646, 0.436)
Mo (0.299, 0.141, 0.931)
Mo (0.701, 0.859, 0.069)
Mo (0.704, 0.354, 0.564)
P (0.211, 0.740, 0.755)
P (0.218, 0.975, 0.253)
P (0.490, 0.457, 0.744)
P (0.510, 0.543, 0.256)
P (0.782, 0.025, 0.747)
P (0.789, 0.260, 0.245)
O (0.000, 0.086, 0.780)
O (0.000, 0.914, 0.220)
O (0.034, 0.545, 0.721)
O (0.145, 0.880, 0.745)
O (0.218, 0.993, 0.083)
O (0.272, 0.833, 0.311)
O (0.276, 0.750, 0.620)
O (0.325, 0.456, 0.564)
O (0.329, 0.528, 0.267)
O (0.355, 0.261, 0.753)
O (0.370, 0.164, 0.402)
O (0.410, 0.809, 0.943)
O (0.416, 0.388, 0.099)
O (0.584, 0.612, 0.901)
O (0.590, 0.191, 0.057)
O (0.630, 0.836, 0.598)
O (0.645, 0.739, 0.247)
O (0.671, 0.472, 0.733)
O (0.675, 0.544, 0.436)
O (0.724, 0.250, 0.380)
O (0.728, 0.167, 0.689)
O (0.782, 0.007, 0.917)
O (0.855, 0.120, 0.255)
O (0.966, 0.455, 0.279)



Structure and theoretical powder diffraction line list of LiMo2P3O12 (a DFT-relaxed cell (GGA+U, Alexandria); Cu Kα (weighted mean of Kα1 and Kα2)).
Lines closer than 0.1° are merged.

Most intense lines, 10° ≤ 2θ ≤ 80°, by angle:
2θ/deg  d/Å  I/Imax
14.17  6.252  22
20.05  4.428  100
20.14  4.408  41
23.58  3.773  40
23.66  3.760  19
28.51  3.131  31
28.64  3.117  15
31.91  2.804  23
35.20  2.550  48
45.77  1.982  13
45.93  1.976  15
55.03  1.669  24

Cell and atoms:
a b c (Å): 8.817 8.817 8.877
angles (deg): 119.95 119.95 60.13
Fractional positions:
Li (0.208, 0.792, 0.500)
Li (0.792, 0.208, 0.000)
Mo (0.085, 0.583, 0.090)
Mo (0.368, 0.866, 0.938)
Mo (0.583, 0.085, 0.590)
Mo (0.866, 0.368, 0.438)
P (0.184, 0.266, 0.260)
P (0.266, 0.184, 0.760)
P (0.476, 0.686, 0.267)
P (0.686, 0.476, 0.767)
P (0.768, 0.977, 0.268)
P (0.977, 0.768, 0.768)
O (0.030, 0.730, 0.943)
O (0.109, 0.224, 0.584)
O (0.140, 0.789, 0.765)
O (0.162, 0.454, 0.264)
O (0.224, 0.109, 0.084)
O (0.235, 0.340, 0.936)
O (0.280, 0.994, 0.744)
O (0.311, 0.673, 0.277)
O (0.340, 0.235, 0.436)
O (0.423, 0.720, 0.093)
O (0.454, 0.162, 0.764)
O (0.500, 0.639, 0.764)
O (0.534, 0.843, 0.444)
O (0.609, 0.926, 0.091)
O (0.639, 0.500, 0.264)
O (0.673, 0.311, 0.777)
O (0.720, 0.423, 0.593)
O (0.730, 0.030, 0.443)
O (0.789, 0.140, 0.265)
O (0.818, 0.956, 0.779)
O (0.843, 0.534, 0.944)
O (0.926, 0.609, 0.591)
O (0.956, 0.818, 0.279)
O (0.994, 0.280, 0.244)



Structure and theoretical powder diffraction line list of LiMoP2O8 (a DFT-relaxed cell (GGA+U, Alexandria); Cu Kα (weighted mean of Kα1 and Kα2)).
Lines closer than 0.1° are merged.

Most intense lines, 10° ≤ 2θ ≤ 80°, by angle:
2θ/deg  d/Å  I/Imax
10.74  8.238  100
16.03  5.531  38
16.58  5.346  69
17.96  4.940  25
22.91  3.881  83
23.28  3.820  15
25.93  3.435  28
28.00  3.187  41
30.26  2.954  19
33.57  2.669  19
35.36  2.538  23
41.81  2.160  15

Cell and atoms:
a b c (Å): 4.927 12.925 11.122
angles (deg): 90.00 105.99 90.00
Fractional positions:
Li (0.176, 0.184, 0.492)
Li (0.176, 0.316, 0.992)
Li (0.824, 0.684, 0.008)
Li (0.824, 0.816, 0.508)
Mo (0.120, 0.096, 0.804)
Mo (0.120, 0.404, 0.304)
Mo (0.880, 0.596, 0.696)
Mo (0.880, 0.904, 0.196)
P (0.304, 0.073, 0.128)
P (0.304, 0.427, 0.628)
P (0.393, 0.730, 0.182)
P (0.393, 0.770, 0.682)
P (0.607, 0.230, 0.318)
P (0.607, 0.270, 0.818)
P (0.696, 0.573, 0.372)
P (0.696, 0.927, 0.872)
O (0.117, 0.037, 0.211)
O (0.117, 0.463, 0.711)
O (0.127, 0.103, 0.997)
O (0.127, 0.397, 0.497)
O (0.153, 0.112, 0.654)
O (0.153, 0.388, 0.154)
O (0.207, 0.654, 0.097)
O (0.207, 0.846, 0.597)
O (0.246, 0.677, 0.724)
O (0.246, 0.823, 0.224)
O (0.359, 0.231, 0.869)
O (0.359, 0.269, 0.369)
O (0.447, 0.181, 0.182)
O (0.447, 0.319, 0.682)
O (0.465, 0.005, 0.871)
O (0.465, 0.495, 0.371)
O (0.535, 0.505, 0.629)
O (0.535, 0.995, 0.129)
O (0.553, 0.681, 0.318)
O (0.553, 0.819, 0.818)
O (0.641, 0.731, 0.631)
O (0.641, 0.769, 0.131)
O (0.754, 0.177, 0.776)
O (0.754, 0.323, 0.276)
O (0.793, 0.154, 0.403)
O (0.793, 0.346, 0.903)
O (0.847, 0.612, 0.846)
O (0.847, 0.888, 0.346)
O (0.873, 0.603, 0.503)
O (0.873, 0.897, 0.003)
O (0.883, 0.537, 0.289)
O (0.883, 0.963, 0.789)